For FePO4, a PBE+U-relaxed structure gives the calculated XRD peak list in this record (Cu Kα (λ = 1.5418 Å)).
Kinematic intensities with the Lorentz-polarization factor, no thermal factor.

Crystal structure
Lattice parameters (Å, degrees): 10.3431 7.4039 5.2868 90.00 90.00 90.00
Space group Pna2_1 (No. 33)
Unique sites:
Fe1 0.1716 0.0259 0.0000 [4 per cell]
P1 0.0973 0.7921 0.5011 [4 per cell]
O1 0.0507 0.2185 0.9591 [4 per cell]
O2 0.1279 0.8347 0.7816 [4 per cell]
O3 0.1549 0.9457 0.3366 [4 per cell]
O4 0.1590 0.6090 0.4312 [4 per cell]

Most intense lines, 2θ = 15–90°, by angle:
d (Å)  2θ/deg  I/Imax
4.302  20.64  1000
4.240  20.95  370
3.972  22.38  963
3.125  28.56  428
2.643  33.91  301
2.616  34.28  365

---

For FePO4, a PBE+U-relaxed structure gives the calculated XRD peak list in this record (Cu Kα (λ = 1.5418 Å)).
Kinematic intensities with the Lorentz-polarization factor, no thermal factor.

Crystal structure
Lattice parameters (Å, degrees): 10.4970 5.2480 7.2966 90.00 90.00 90.00
Space group Pna2_1 (No. 33)
Unique sites:
Fe1 0.1512 0.1902 0.0000 [4 per cell]
P1 0.0965 0.6886 0.7507 [4 per cell]
O1 0.0438 0.2563 0.2013 [4 per cell]
O2 0.1120 0.4038 0.8007 [4 per cell]
O3 0.1351 0.8506 0.9187 [4 per cell]
O4 0.1810 0.7507 0.5827 [4 per cell]

Most intense lines, 2θ = 15–90°, by angle:
d (Å)  2θ/deg  I/Imax
4.261  20.85  1000
3.948  22.52  67
2.996  29.83  71
2.624  34.17  177
2.602  34.47  92
2.234  40.37  67

---

For Fe2P3O10, a PBE+U-relaxed structure gives the calculated XRD peak list in this record (Cu Kα (λ = 1.5418 Å)).
Kinematic intensities with the Lorentz-polarization factor, no thermal factor.

Crystal structure
Lattice parameters (Å, degrees): 4.7431 8.5132 8.9801 90.00 97.73 90.00
Space group P2_1/m (No. 11)
Unique sites:
Fe1 0.0392 0.0723 0.3263 [4 per cell]
P1 0.3312 0.2500 0.8149 [2 per cell]
P2 0.3882 0.7500 0.4620 [2 per cell]
P3 0.4614 0.2500 0.1461 [2 per cell]
O1 0.1685 0.0995 0.7920 [4 per cell]
O2 0.2194 0.5994 0.4887 [4 per cell]
O3 0.2313 0.7500 0.7662 [2 per cell]
O4 0.3028 0.0996 0.1734 [4 per cell]
O5 0.3096 0.2500 0.4514 [2 per cell]
O6 0.4130 0.7500 0.2865 [2 per cell]
O7 0.4756 0.7500 0.0259 [2 per cell]

Most intense lines, 2θ = 15–90°, by angle:
d (Å)  2θ/deg  I/Imax
4.449  19.96  287
3.578  24.89  328
3.473  25.65  365
3.155  28.29  1000
2.858  31.30  411
2.676  33.49  440

---

For Fe2P5O15, a PBE+U-relaxed structure gives the calculated XRD peak list in this record (Cu Kα (λ = 1.5418 Å)).
Kinematic intensities with the Lorentz-polarization factor, no thermal factor.

Crystal structure
Lattice parameters (Å, degrees): 5.2754 8.4186 13.7159 90.00 109.03 90.00
Space group Pc (No. 7)
Unique sites:
Fe1 0.0000 0.2107 0.0000 [2 per cell]
Fe2 0.1412 0.2117 0.4210 [2 per cell]
P1 0.0751 0.4327 0.2138 [2 per cell]
P2 0.4057 0.3201 0.8608 [2 per cell]
P3 0.5470 0.0117 0.3134 [2 per cell]
P4 0.5924 0.0097 0.6014 [2 per cell]
P5 0.7399 0.3281 0.5626 [2 per cell]
O1 0.1665 0.3383 0.1399 [2 per cell]
O2 0.1870 0.2946 0.9058 [2 per cell]
O3 0.3070 0.4393 0.7641 [2 per cell]
O4 0.3121 0.0356 0.5259 [2 per cell]
O5 0.3487 0.1191 0.3371 [2 per cell]
O6 0.4289 0.1627 0.7942 [2 per cell]
O7 0.4544 0.3518 0.4937 [2 per cell]
O8 0.5474 0.0590 0.2017 [2 per cell]
O9 0.6809 0.3645 0.9272 [2 per cell]
O10 0.7412 0.1763 0.6365 [2 per cell]
O11 0.7741 0.1006 0.0727 [2 per cell]
O12 0.8164 0.4603 0.6497 [2 per cell]
O13 0.8364 0.0172 0.3837 [2 per cell]
O14 0.9518 0.3057 0.5126 [2 per cell]
O15 0.9898 0.3553 0.2984 [2 per cell]

Most intense lines, 2θ = 15–90°, by angle:
d (Å)  2θ/deg  I/Imax
4.154  21.39  791
3.590  24.80  1000
3.530  25.23  913
3.447  25.85  674
3.217  27.73  549
3.015  29.62  513

---

For FeP2O7, a PBE+U-relaxed structure gives the calculated XRD peak list in this record (Cu Kα (λ = 1.5418 Å)).
Kinematic intensities with the Lorentz-polarization factor, no thermal factor.

Crystal structure
Lattice parameters (Å, degrees): 5.1496 6.7932 8.3864 68.97 88.41 88.20
Space group P-1 (No. 2)
Unique sites:
Fe1 0.2433 0.2126 0.2295 [2 per cell]
P1 0.2431 0.1102 0.6679 [2 per cell]
P2 0.2751 0.4545 0.8102 [2 per cell]
O1 0.0379 0.9473 0.2758 [2 per cell]
O2 0.0843 0.6399 0.7392 [2 per cell]
O3 0.1874 0.2915 0.9802 [2 per cell]
O4 0.2839 0.3422 0.6701 [2 per cell]
O5 0.2981 0.1306 0.4828 [2 per cell]
O6 0.4401 0.9592 0.7860 [2 per cell]
O7 0.4481 0.4727 0.1860 [2 per cell]

Most intense lines, 2θ = 15–90°, by angle:
d (Å)  2θ/deg  I/Imax
4.041  22.00  802
3.951  22.50  971
3.913  22.72  1000
2.874  31.12  340
2.790  32.08  388
2.573  34.87  217

---

For Fe2P5O16, a PBE+U-relaxed structure gives the calculated XRD peak list in this record (Cu Kα (λ = 1.5418 Å)).
Kinematic intensities with the Lorentz-polarization factor, no thermal factor.

Crystal structure
Lattice parameters (Å, degrees): 5.1482 6.8495 18.9794 90.00 90.41 90.00
Space group P2/c (No. 13)
Unique sites:
Fe1 0.2399 0.1827 0.0940 [4 per cell]
P1 0.2533 0.4627 0.3697 [4 per cell]
P2 0.2661 0.1287 0.9219 [4 per cell]
P3 0.5000 0.2621 0.2500 [2 per cell]
O1 0.0269 0.4207 0.1142 [4 per cell]
O2 0.0785 0.0162 0.3883 [4 per cell]
O3 0.1642 0.2131 0.9908 [4 per cell]
O4 0.2884 0.3068 0.8654 [4 per cell]
O5 0.3043 0.4105 0.2883 [4 per cell]
O6 0.3461 0.1488 0.1965 [4 per cell]
O7 0.4552 0.3694 0.4166 [4 per cell]
O8 0.4559 0.0534 0.5725 [4 per cell]

Most intense lines, 2θ = 15–90°, by angle:
d (Å)  2θ/deg  I/Imax
5.554  15.96  245
4.745  18.70  558
4.024  22.09  1000
3.775  23.57  274
3.163  28.21  244
2.820  31.74  334